Structure and theoretical powder diffraction line list of Ti6ZnSb (a cell relaxed with GGA-PBE; Cu Kα (weighted mean of Kα1 and Kα2)).

Peak list (8 most intense, 10 to 80 degrees two-theta, most intense first)
2θ (°)	Rel. int.
40.81	100
38.14	27
35.87	25
70.73	19
77.44	18
64.47	16
25.95	15
53.36	15

Structure:
a = 5.781 Å, b = 5.781 Å, c = 4.719 Å
α = 90.00°, β = 90.00°, γ = 120.00°
Fractional coordinates of all 8 atoms:
Ti 0.001 0.500 0.000
Ti 0.334 0.167 0.500
Ti 0.500 0.500 0.000
Ti 0.500 0.999 0.000
Ti 0.833 0.167 0.500
Ti 0.833 0.666 0.500
Zn 0.333 0.667 0.500
Sb 0.000 0.000 0.000

=====

Structure and theoretical powder diffraction line list of Ti12Zn3Sb (a cell relaxed with GGA-PBE; Cu Kα (weighted mean of Kα1 and Kα2)).

Peak list (8 most intense, 10 to 80 degrees two-theta, most intense first)
2θ (°)	Rel. int.
43.46	100
39.51	69
35.19	46
68.86	31
24.69	17
68.94	15
66.02	9
74.34	9

Structure:
a = 5.092 Å, b = 5.104 Å, c = 10.208 Å
α = 90.00°, β = 90.00°, γ = 90.00°
Fractional coordinates of all 16 atoms:
Ti 0.000 0.000 0.122
Ti 0.000 0.000 0.369
Ti 0.000 0.000 0.631
Ti 0.000 0.000 0.878
Ti 0.242 0.500 0.500
Ti 0.250 0.500 0.000
Ti 0.500 0.252 0.244
Ti 0.500 0.252 0.756
Ti 0.500 0.748 0.244
Ti 0.500 0.748 0.756
Ti 0.750 0.500 0.000
Ti 0.758 0.500 0.500
Zn 0.000 0.500 0.250
Zn 0.000 0.500 0.750
Zn 0.500 0.000 0.000
Sb 0.500 0.000 0.500

=====

Structure and theoretical powder diffraction line list of Zr2TiSb2 (a cell relaxed with GGA-PBE; Cu Kα (weighted mean of Kα1 and Kα2)).

Peak list (8 most intense, 10 to 80 degrees two-theta, most intense first)
2θ (°)	Rel. int.
34.39	100
40.03	59
37.30	50
30.53	32
46.64	26
36.36	24
74.29	20
70.11	18

Structure:
a = 8.116 Å, b = 8.116 Å, c = 5.857 Å
α = 90.00°, β = 90.00°, γ = 145.44°
Fractional coordinates of all 10 atoms:
Zr 0.000 0.000 0.000
Zr 0.000 0.000 0.500
Zr 0.196 0.804 0.750
Zr 0.804 0.196 0.250
Ti 0.393 0.607 0.750
Ti 0.607 0.393 0.250
Sb 0.184 0.816 0.250
Sb 0.425 0.575 0.250
Sb 0.575 0.425 0.750
Sb 0.816 0.184 0.750

=====

Structure and theoretical powder diffraction line list of Tl3Sb (a cell relaxed with GGA-PBE; Cu Kα (weighted mean of Kα1 and Kα2)).

Peak list (8 most intense, 10 to 80 degrees two-theta, most intense first)
2θ (°)	Rel. int.
30.73	100
31.56	95
35.40	69
52.54	45
37.53	30
60.18	29
61.66	28
64.01	25

Structure:
a = 3.515 Å, b = 4.794 Å, c = 7.322 Å
α = 90.00°, β = 90.00°, γ = 90.00°
Fractional coordinates of all 4 atoms:
Tl 0.000 0.000 0.000
Tl 0.500 0.500 0.263
Tl 0.500 0.500 0.737
Sb 0.000 0.000 0.500